1.
This entry pairs a crystal structure of K2RbTiF6 with its calculated X-ray powder pattern. Radiation: Cu Kα, 1.54184 Å. Structure: a cell relaxed with GGA-PBE.
Intensities are scaled so that the largest is 100.

Crystal structure
Cell: 9.246 9.246 9.246 Å, 90.00 90.00 90.00°
Space group Fm-3m (No. 225)
Symmetry-distinct sites (fractional):
K  0.250  0.250  0.250 (multiplicity 8)
Rb  0.000  0.000  0.000 (multiplicity 4)
Ti  0.000  0.000  0.500 (multiplicity 4)
F  0.000  0.000  0.285 (multiplicity 24)

Main lines, sorted by position (2θ from 10° to 90°):
two_theta, d_spacing, I_rel
19.20, 4.623, 33
27.28, 3.269, 100
38.96, 2.312, 55
42.62, 2.121, 10
43.79, 2.067, 11
48.22, 1.887, 33
56.28, 1.634, 30
63.65, 1.462, 20
70.57, 1.335, 9
77.21, 1.236, 20

=====

2.
This entry pairs a crystal structure of KRb2TiF6 with its calculated X-ray powder pattern. Radiation: Cu Kα, 1.54184 Å. Structure: a cell relaxed with GGA-PBE.
Intensities are scaled so that the largest is 100.

Crystal structure
Cell: 9.107 9.107 9.107 Å, 90.00 90.00 90.00°
Space group Fm-3m (No. 225)
Symmetry-distinct sites (fractional):
K  0.000  0.000  0.000 (multiplicity 4)
Rb  0.250  0.250  0.250 (multiplicity 8)
Ti  0.000  0.000  0.500 (multiplicity 4)
F  0.000  0.000  0.281 (multiplicity 24)

Main lines, sorted by position (2θ from 10° to 90°):
two_theta, d_spacing, I_rel
16.86, 5.258, 4
27.71, 3.220, 100
34.11, 2.629, 28
39.59, 2.277, 48
49.00, 1.859, 36
57.23, 1.610, 28
64.74, 1.440, 20
68.32, 1.373, 8
71.82, 1.314, 8
78.62, 1.217, 21

=====

3.
This entry pairs a crystal structure of KRb2TlF6 with its calculated X-ray powder pattern. Radiation: Cu Kα, 1.54184 Å. Structure: a cell relaxed with GGA-PBE.
Intensities are scaled so that the largest is 100.

Crystal structure
Cell: 9.467 9.467 9.467 Å, 90.00 90.00 90.00°
Space group Fm-3m (No. 225)
Symmetry-distinct sites (fractional):
K  0.000  0.000  0.000 (multiplicity 4)
Rb  0.250  0.250  0.250 (multiplicity 8)
Tl  0.000  0.000  0.500 (multiplicity 4)
F  0.000  0.000  0.268 (multiplicity 24)

Main lines, sorted by position (2θ from 10° to 90°):
two_theta, d_spacing, I_rel
16.22, 5.466, 43
26.63, 3.347, 100
31.34, 2.854, 22
38.02, 2.367, 38
47.02, 1.932, 42
50.06, 1.822, 11
54.86, 1.674, 24
62.00, 1.497, 20
75.09, 1.265, 22
87.41, 1.116, 11